The following is a theoretical powder XRD pattern of Mg11Mn2O13. It was derived from a GGA+U-relaxed structure, using λ = 1.5418 Å (Cu Kα).

Lattice parameters (Å, degrees): 19.9620 19.9620 19.9620 171.28 167.63 15.15
Atoms (fractional coordinates):
Mg1 0.0000 0.0000 0.0000
Mg2 0.0756 0.0756 0.0000
Mg3 0.2314 0.2314 0.0000
Mg4 0.3072 0.3072 0.0000
Mg5 0.3860 0.3860 0.0000
Mg6 0.4620 0.4620 0.0000
Mg7 0.5380 0.5380 0.0000
Mg8 0.6140 0.6140 0.0000
Mg9 0.6928 0.6928 0.0000
Mg10 0.7686 0.7686 0.0000
Mg11 0.9244 0.9244 0.0000
Mn1 0.1534 0.1534 0.0000
Mn2 0.8466 0.8466 0.0000
O1 0.0377 0.5377 0.5000
O2 0.1124 0.6124 0.5000
O3 0.1945 0.6945 0.5000
O4 0.2695 0.7695 0.5000
O5 0.3467 0.8467 0.5000
O6 0.4239 0.9239 0.5000
O7 0.5000 0.0000 0.5000
O8 0.5761 0.0761 0.5000
O9 0.6533 0.1533 0.5000
O10 0.7305 0.2305 0.5000
O11 0.8055 0.3055 0.5000
O12 0.8876 0.3876 0.5000
O13 0.9623 0.4623 0.5000

Main lines, low angle first (10 to 80 degrees two-theta):
d (Å)	I (rel.)
6.596	3
4.088	4
3.423	2
2.483	19
2.321	2
2.150	100
1.521	47
1.518	9
1.297	7
1.296	3
1.242	8
1.240	9